1.
Diffraction record for Np2SnSe6. The powder diffraction line list is simulated, not measured: it uses a DFT-relaxed cell (PBE, Alexandria) and a wavelength of 1.5418 Å.
Intensities are scaled so that the largest is 100.

Largest 10 diffraction maxima, sorted by position, 5 to 70 degrees two-theta:
9.561 Å, 9.25°, intensity 18
4.088 Å, 21.74°, intensity 100
3.767 Å, 23.62°, intensity 27
2.566 Å, 34.97°, intensity 30
2.432 Å, 36.96°, intensity 45
2.232 Å, 40.42°, intensity 47
2.044 Å, 44.32°, intensity 18
2.020 Å, 44.87°, intensity 30
1.884 Å, 48.32°, intensity 22
1.489 Å, 62.34°, intensity 17

Structure:
a = 10.2762 Å, b = 10.2762 Å, c = 10.2762 Å
α = 149.95°, β = 149.95°, γ = 43.01°
Element x y z (fractional)
Np (0.1880, 0.1880, 0.0000)
Np (0.8120, 0.8120, 0.0000)
Sn (0.5000, 0.5000, 0.0000)
Se (0.1410, 0.7071, 0.0000)
Se (0.2500, 0.7500, 0.5000)
Se (0.2929, 0.2929, 0.4339)
Se (0.7071, 0.1410, 0.0000)
Se (0.7500, 0.2500, 0.5000)
Se (0.8590, 0.8590, 0.5661)



2.
Diffraction record for Sc6BiRh2. The powder diffraction line list is simulated, not measured: it uses a DFT-relaxed cell (PBE, Alexandria) and a wavelength of 1.5418 Å.
Intensities are scaled so that the largest is 100.

Largest 10 diffraction maxima, sorted by position, 5 to 70 degrees two-theta:
4.896 Å, 18.12°, intensity 46
4.441 Å, 20.00°, intensity 81
3.880 Å, 22.92°, intensity 41
2.667 Å, 33.61°, intensity 68
2.527 Å, 35.53°, intensity 38
2.478 Å, 36.25°, intensity 100
2.428 Å, 37.02°, intensity 39
2.285 Å, 39.44°, intensity 33
2.220 Å, 40.63°, intensity 33
1.863 Å, 48.88°, intensity 37

Structure:
a = 8.0273 Å, b = 8.0273 Å, c = 8.0273 Å
α = 112.83°, β = 110.86°, γ = 104.83°
Element x y z (fractional)
Sc (0.0222, 0.2363, 0.7859)
Sc (0.1851, 0.2935, 0.4785)
Sc (0.1851, 0.7065, 0.8916)
Sc (0.3289, 0.0251, 0.6962)
Sc (0.3289, 0.6327, 0.3038)
Sc (0.4504, 0.2363, 0.2141)
Sc (0.5496, 0.7637, 0.7859)
Sc (0.6711, 0.3673, 0.6962)
Sc (0.6711, 0.9749, 0.3038)
Sc (0.8149, 0.2935, 0.1084)
Sc (0.8149, 0.7065, 0.5215)
Sc (0.9778, 0.7637, 0.2141)
Bi (0.0000, 0.0000, 0.0000)
Bi (0.5000, 0.5000, 0.0000)
Rh (0.1383, 0.6383, 0.5000)
Rh (0.3400, 0.0000, 0.3400)
Rh (0.6600, 0.0000, 0.6600)
Rh (0.8617, 0.3617, 0.5000)



3.
Diffraction record for Pu2Ir3Pt. The powder diffraction line list is simulated, not measured: it uses a DFT-relaxed cell (PBE, Alexandria) and a wavelength of 1.5418 Å.
Intensities are scaled so that the largest is 100.

Largest 10 diffraction maxima, sorted by position, 5 to 70 degrees two-theta:
2.693 Å, 33.26°, intensity 23
2.685 Å, 33.38°, intensity 22
2.295 Å, 39.26°, intensity 100
2.289 Å, 39.37°, intensity 35
2.198 Å, 41.07°, intensity 35
2.189 Å, 41.25°, intensity 11
1.554 Å, 59.49°, intensity 13
1.465 Å, 63.52°, intensity 34
1.462 Å, 63.66°, intensity 8
1.347 Å, 69.84°, intensity 19

Structure:
a = 5.3694 Å, b = 5.3694 Å, c = 5.3694 Å
α = 60.21°, β = 60.21°, γ = 60.21°
Element x y z (fractional)
Pu (0.1239, 0.1239, 0.1239)
Pu (0.8761, 0.8761, 0.8761)
Ir (0.0000, 0.5000, 0.5000)
Ir (0.5000, 0.0000, 0.5000)
Ir (0.5000, 0.5000, 0.0000)
Pt (0.5000, 0.5000, 0.5000)



4.
Diffraction record for Na3Nd3TiO8. The powder diffraction line list is simulated, not measured: it uses a DFT-relaxed cell (PBE, Alexandria) and a wavelength of 1.5418 Å.
Intensities are scaled so that the largest is 100.

Largest 10 diffraction maxima, sorted by position, 5 to 70 degrees two-theta:
5.572 Å, 15.91°, intensity 100
2.954 Å, 30.25°, intensity 48
2.825 Å, 31.68°, intensity 51
2.786 Å, 32.13°, intensity 17
2.438 Å, 36.87°, intensity 82
2.233 Å, 40.39°, intensity 17
1.869 Å, 48.73°, intensity 19
1.733 Å, 52.83°, intensity 27
1.715 Å, 53.43°, intensity 24
1.655 Å, 55.54°, intensity 22

Structure:
a = 6.8601 Å, b = 6.8601 Å, c = 6.8601 Å
α = 60.69°, β = 60.69°, γ = 60.69°
Element x y z (fractional)
Na (0.0000, 0.5000, 0.5000)
Na (0.5000, 0.0000, 0.5000)
Na (0.5000, 0.5000, 0.0000)
Nd (0.0000, 0.0000, 0.5000)
Nd (0.0000, 0.5000, 0.0000)
Nd (0.5000, 0.0000, 0.0000)
Ti (0.5000, 0.5000, 0.5000)
O (0.2401, 0.2401, 0.2401)
O (0.2774, 0.7092, 0.7092)
O (0.2908, 0.2908, 0.7226)
O (0.2908, 0.7226, 0.2908)
O (0.7092, 0.2774, 0.7092)
O (0.7092, 0.7092, 0.2774)
O (0.7226, 0.2908, 0.2908)
O (0.7599, 0.7599, 0.7599)



5.
Diffraction record for CdBi4Pb5. The powder diffraction line list is simulated, not measured: it uses a DFT-relaxed cell (PBE, Alexandria) and a wavelength of 1.5418 Å.
Intensities are scaled so that the largest is 100.

Largest 10 diffraction maxima, sorted by position, 5 to 70 degrees two-theta:
3.095 Å, 28.85°, intensity 3
2.884 Å, 31.01°, intensity 100
2.561 Å, 35.04°, intensity 38
2.384 Å, 37.73°, intensity 13
1.811 Å, 50.40°, intensity 14
1.745 Å, 52.44°, intensity 21
1.541 Å, 60.03°, intensity 4
1.533 Å, 60.36°, intensity 31
1.455 Å, 63.97°, intensity 9
1.442 Å, 64.64°, intensity 11

Structure:
a = 3.6214 Å, b = 3.6214 Å, c = 23.8414 Å
α = 90.00°, β = 90.00°, γ = 90.00°
Element x y z (fractional)
Cd (0.0000, 0.0000, 0.0000)
Bi (0.0000, 0.0000, 0.1920)
Bi (0.0000, 0.0000, 0.3965)
Bi (0.0000, 0.0000, 0.6035)
Bi (0.0000, 0.0000, 0.8080)
Pb (0.5000, 0.5000, 0.0900)
Pb (0.5000, 0.5000, 0.2934)
Pb (0.5000, 0.5000, 0.5000)
Pb (0.5000, 0.5000, 0.7066)
Pb (0.5000, 0.5000, 0.9100)



6.
Diffraction record for Tb5Sb4S. The powder diffraction line list is simulated, not measured: it uses a DFT-relaxed cell (PBE, Alexandria) and a wavelength of 1.5418 Å.
Intensities are scaled so that the largest is 100.

Largest 10 diffraction maxima, sorted by position, 5 to 70 degrees two-theta:
3.529 Å, 25.23°, intensity 11
3.063 Å, 29.15°, intensity 100
3.043 Å, 29.35°, intensity 46
2.166 Å, 41.70°, intensity 37
2.159 Å, 41.84°, intensity 69
1.765 Å, 51.81°, intensity 37
1.532 Å, 60.44°, intensity 12
1.370 Å, 68.49°, intensity 17
1.368 Å, 68.60°, intensity 16
1.363 Å, 68.91°, intensity 13

Structure:
a = 15.5207 Å, b = 15.5207 Å, c = 15.5207 Å
α = 163.96°, β = 163.96°, γ = 22.77°
Element x y z (fractional)
Tb (0.0000, 0.0000, 0.0000)
Tb (0.2008, 0.2008, 0.0000)
Tb (0.4070, 0.4070, 0.0000)
Tb (0.5930, 0.5930, 0.0000)
Tb (0.7992, 0.7992, 0.0000)
Sb (0.0987, 0.0987, 0.0000)
Sb (0.3031, 0.3031, 0.0000)
Sb (0.6969, 0.6969, 0.0000)
Sb (0.9013, 0.9013, 0.0000)
S (0.5000, 0.5000, 0.0000)



7.
Diffraction record for Sr2Ni12P3Rh. The powder diffraction line list is simulated, not measured: it uses a DFT-relaxed cell (PBE, Alexandria) and a wavelength of 1.5418 Å.
Intensities are scaled so that the largest is 100.

Largest 10 diffraction maxima, sorted by position, 5 to 70 degrees two-theta:
6.242 Å, 14.19°, intensity 13
3.222 Å, 27.69°, intensity 37
3.117 Å, 28.64°, intensity 48
2.660 Å, 33.70°, intensity 100
2.424 Å, 37.09°, intensity 47
2.081 Å, 43.49°, intensity 19
1.927 Å, 47.16°, intensity 86
1.838 Å, 49.60°, intensity 66
1.404 Å, 66.58°, intensity 15
1.373 Å, 68.32°, intensity 14

Structure:
a = 7.3672 Å, b = 7.3672 Å, c = 7.3672 Å
α = 63.09°, β = 63.09°, γ = 63.09°
Element x y z (fractional)
Sr (0.1101, 0.1101, 0.1101)
Sr (0.8899, 0.8899, 0.8899)
Ni (0.1233, 0.6170, 0.6170)
Ni (0.1653, 0.1653, 0.5860)
Ni (0.1653, 0.5860, 0.1653)
Ni (0.3830, 0.3830, 0.8767)
Ni (0.3830, 0.8767, 0.3830)
Ni (0.4140, 0.8347, 0.8347)
Ni (0.5860, 0.1653, 0.1653)
Ni (0.6170, 0.1233, 0.6170)
Ni (0.6170, 0.6170, 0.1233)
Ni (0.8347, 0.4140, 0.8347)
Ni (0.8347, 0.8347, 0.4140)
Ni (0.8767, 0.3830, 0.3830)
P (0.0000, 0.5000, 0.5000)
P (0.5000, 0.0000, 0.5000)
P (0.5000, 0.5000, 0.0000)
Rh (0.5000, 0.5000, 0.5000)



8.
Diffraction record for PrEr3Tl3. The powder diffraction line list is simulated, not measured: it uses a DFT-relaxed cell (PBE, Alexandria) and a wavelength of 1.5418 Å.
Intensities are scaled so that the largest is 100.

Largest 10 diffraction maxima, sorted by position, 5 to 70 degrees two-theta:
3.827 Å, 23.25°, intensity 10
2.964 Å, 30.15°, intensity 100
2.505 Å, 35.85°, intensity 71
2.096 Å, 43.16°, intensity 16
1.998 Å, 45.38°, intensity 10
1.913 Å, 47.52°, intensity 14
1.838 Å, 49.59°, intensity 17
1.521 Å, 60.93°, intensity 26
1.482 Å, 62.69°, intensity 10
1.446 Å, 64.42°, intensity 14

Structure:
a = 9.3731 Å, b = 9.3731 Å, c = 9.3731 Å
α = 90.00°, β = 90.00°, γ = 90.00°
Element x y z (fractional)
Pr (0.0635, 0.4365, 0.5635)
Pr (0.4365, 0.5635, 0.0635)
Pr (0.5635, 0.0635, 0.4365)
Pr (0.9365, 0.9365, 0.9365)
Er (0.0925, 0.5925, 0.9075)
Er (0.1769, 0.1769, 0.1769)
Er (0.1845, 0.8155, 0.3155)
Er (0.3155, 0.1845, 0.8155)
Er (0.3231, 0.8231, 0.6769)
Er (0.4075, 0.4075, 0.4075)
Er (0.5925, 0.9075, 0.0925)
Er (0.6769, 0.3231, 0.8231)
Er (0.6845, 0.6845, 0.6845)
Er (0.8155, 0.3155, 0.1845)
Er (0.8231, 0.6769, 0.3231)
Er (0.9075, 0.0925, 0.5925)
Tl (0.0008, 0.2711, 0.8892)
Tl (0.1108, 0.5008, 0.2289)
Tl (0.2289, 0.1108, 0.5008)
Tl (0.2711, 0.8892, 0.0008)
Tl (0.3892, 0.4992, 0.7289)
Tl (0.4992, 0.7289, 0.3892)
Tl (0.5008, 0.2289, 0.1108)
Tl (0.6108, 0.9992, 0.7711)
Tl (0.7289, 0.3892, 0.4992)
Tl (0.7711, 0.6108, 0.9992)
Tl (0.8892, 0.0008, 0.2711)
Tl (0.9992, 0.7711, 0.6108)



9.
Diffraction record for GaPRh. The powder diffraction line list is simulated, not measured: it uses a DFT-relaxed cell (PBE, Alexandria) and a wavelength of 1.5418 Å.
Intensities are scaled so that the largest is 100.

Largest 10 diffraction maxima, sorted by position, 5 to 70 degrees two-theta:
4.307 Å, 20.62°, intensity 45
2.921 Å, 30.61°, intensity 100
2.538 Å, 35.37°, intensity 25
2.275 Å, 39.61°, intensity 52
2.104 Å, 42.98°, intensity 86
2.078 Å, 43.55°, intensity 33
2.042 Å, 44.36°, intensity 31
1.827 Å, 49.90°, intensity 36
1.795 Å, 50.87°, intensity 31
1.757 Å, 52.04°, intensity 22

Structure:
a = 8.6141 Å, b = 3.5900 Å, c = 6.2343 Å
α = 90.00°, β = 90.61°, γ = 90.00°
Element x y z (fractional)
Ga (0.0000, 0.0000, 0.0000)
Ga (0.1943, 0.5000, 0.7226)
Ga (0.5000, 0.5000, 0.0000)
Ga (0.6943, 0.0000, 0.7226)
P (0.1808, 0.0000, 0.3152)
P (0.4256, 0.0000, 0.6282)
P (0.6808, 0.5000, 0.3152)
P (0.9256, 0.5000, 0.6282)
Rh (0.2940, 0.0000, 0.9786)
Rh (0.3598, 0.5000, 0.3704)
Rh (0.7940, 0.5000, 0.9786)
Rh (0.8598, 0.0000, 0.3704)



10.
Diffraction record for Nd7Sm3Er2. The powder diffraction line list is simulated, not measured: it uses a DFT-relaxed cell (PBE, Alexandria) and a wavelength of 1.5418 Å.
Intensities are scaled so that the largest is 100.

Largest 10 diffraction maxima, sorted by position, 5 to 70 degrees two-theta:
3.230 Å, 27.62°, intensity 20
3.019 Å, 29.59°, intensity 40
2.929 Å, 30.52°, intensity 62
2.906 Å, 30.77°, intensity 28
2.868 Å, 31.19°, intensity 100
2.696 Å, 33.23°, intensity 38
2.657 Å, 33.73°, intensity 32
2.063 Å, 43.89°, intensity 21
1.679 Å, 54.66°, intensity 21
1.544 Å, 59.93°, intensity 18

Structure:
a = 5.8580 Å, b = 3.6324 Å, c = 19.5930 Å
α = 90.00°, β = 98.49°, γ = 90.00°
Element x y z (fractional)
Nd (0.0000, 0.0000, 0.0000)
Nd (0.0947, 0.5000, 0.1874)
Nd (0.2681, 0.5000, 0.5363)
Nd (0.4256, 0.0000, 0.8538)
Nd (0.5744, 0.0000, 0.1462)
Nd (0.7319, 0.5000, 0.4637)
Nd (0.9053, 0.5000, 0.8126)
Sm (0.1844, 0.0000, 0.3684)
Sm (0.5000, 0.5000, 0.0000)
Sm (0.8156, 0.0000, 0.6316)
Er (0.3510, 0.5000, 0.7033)
Er (0.6490, 0.5000, 0.2967)



11.
Diffraction record for TaTi7Pb2. The powder diffraction line list is simulated, not measured: it uses a DFT-relaxed cell (PBE, Alexandria) and a wavelength of 1.5418 Å.
Intensities are scaled so that the largest is 100.

Largest 10 diffraction maxima, sorted by position, 5 to 70 degrees two-theta:
5.516 Å, 16.07°, intensity 10
3.378 Å, 26.38°, intensity 100
2.881 Å, 31.04°, intensity 8
2.758 Å, 32.46°, intensity 30
2.389 Å, 37.66°, intensity 58
1.950 Å, 46.57°, intensity 45
1.689 Å, 54.31°, intensity 39
1.511 Å, 61.37°, intensity 20
1.440 Å, 64.72°, intensity 12
1.379 Å, 67.97°, intensity 13

Structure:
a = 6.7562 Å, b = 6.7562 Å, c = 6.7562 Å
α = 60.00°, β = 60.00°, γ = 60.00°
Element x y z (fractional)
Ta (0.0000, 0.0000, 0.0000)
Ti (0.2551, 0.2551, 0.7449)
Ti (0.2551, 0.7449, 0.2551)
Ti (0.2551, 0.7449, 0.7449)
Ti (0.5000, 0.5000, 0.5000)
Ti (0.7449, 0.2551, 0.2551)
Ti (0.7449, 0.2551, 0.7449)
Ti (0.7449, 0.7449, 0.2551)
Pb (0.2500, 0.2500, 0.2500)
Pb (0.7500, 0.7500, 0.7500)



12.
Diffraction record for La3Si3Pd. The powder diffraction line list is simulated, not measured: it uses a DFT-relaxed cell (PBE, Alexandria) and a wavelength of 1.5418 Å.
Intensities are scaled so that the largest is 100.

Largest 10 diffraction maxima, sorted by position, 5 to 70 degrees two-theta:
3.453 Å, 25.80°, intensity 41
2.869 Å, 31.18°, intensity 100
2.853 Å, 31.35°, intensity 57
2.535 Å, 35.41°, intensity 18
2.250 Å, 40.07°, intensity 21
2.196 Å, 41.10°, intensity 23
2.071 Å, 43.71°, intensity 19
1.852 Å, 49.19°, intensity 22
1.676 Å, 54.78°, intensity 23
1.365 Å, 68.77°, intensity 16

Structure:
a = 4.1416 Å, b = 4.3925 Å, c = 18.7617 Å
α = 90.00°, β = 90.00°, γ = 90.00°
Element x y z (fractional)
La (0.0000, 0.0000, 0.0000)
La (0.0000, 0.0000, 0.3692)
La (0.0000, 0.5000, 0.6858)
La (0.5000, 0.0000, 0.1858)
La (0.5000, 0.5000, 0.5000)
La (0.5000, 0.5000, 0.8692)
Si (0.0000, 0.0000, 0.5448)
Si (0.0000, 0.0000, 0.8227)
Si (0.0000, 0.5000, 0.2483)
Si (0.5000, 0.0000, 0.7483)
Si (0.5000, 0.5000, 0.0448)
Si (0.5000, 0.5000, 0.3227)
Pd (0.0000, 0.5000, 0.1200)
Pd (0.5000, 0.0000, 0.6200)



13.
Diffraction record for LiIn2Cu9. The powder diffraction line list is simulated, not measured: it uses a DFT-relaxed cell (PBE, Alexandria) and a wavelength of 1.5418 Å.
Intensities are scaled so that the largest is 100.

Largest 10 diffraction maxima, sorted by position, 5 to 70 degrees two-theta:
8.095 Å, 10.93°, intensity 34
2.710 Å, 33.05°, intensity 21
2.507 Å, 35.82°, intensity 37
2.488 Å, 36.10°, intensity 27
2.162 Å, 41.77°, intensity 36
2.131 Å, 42.41°, intensity 100
2.044 Å, 44.31°, intensity 38
1.982 Å, 45.78°, intensity 64
1.968 Å, 46.12°, intensity 43
1.363 Å, 68.90°, intensity 21

Structure:
a = 8.5973 Å, b = 8.5973 Å, c = 8.5973 Å
α = 33.91°, β = 33.91°, γ = 33.91°
Element x y z (fractional)
Li (0.0000, 0.0000, 0.0000)
In (0.1376, 0.1376, 0.1376)
In (0.8624, 0.8624, 0.8624)
Cu (0.0801, 0.5850, 0.5850)
Cu (0.3334, 0.3334, 0.3334)
Cu (0.4150, 0.4150, 0.9199)
Cu (0.4150, 0.9199, 0.4150)
Cu (0.5000, 0.5000, 0.5000)
Cu (0.5850, 0.0801, 0.5850)
Cu (0.5850, 0.5850, 0.0801)
Cu (0.6666, 0.6666, 0.6666)
Cu (0.9199, 0.4150, 0.4150)